Diffraction record for HfAlW4. The powder diffraction line list is calculated, not measured: it uses a crystal structure in the Materials Project, relaxed with PBE and Cu Kα (weighted mean of Kα1 and Kα2).
Intensities are scaled so that the largest is 1000.

Principal peaks in the range 2θ = 10–90°, in order of rising 2θ:
(hkl), two_theta, I/Imax
1 1 1, 20.40, 388
2 2 0, 33.62, 121
3 1 1, 39.64, 1000
2 2 2, 41.49, 603
4 0 0, 48.28, 147
3 3 1, 52.93, 99
5 1 1, 64.18, 329
4 4 0, 70.67, 299
5 3 3, 84.20, 118
6 2 2, 85.41, 236

Atomic structure:
a = 7.5402 Å, b = 7.5402 Å, c = 7.5402 Å
α = 90.00°, β = 90.00°, γ = 90.00°
Space group F-43m (No. 216)
Symmetry-distinct sites (fractional):
1 Hf 0.0000 0.0000 0.0000 (multiplicity 4)
2 Al 0.2500 0.2500 0.7500 (multiplicity 4)
3 W 0.1245 0.1245 0.3755 (multiplicity 16)

=====

Diffraction record for Na6Y3NbSi2P4O24. The powder diffraction line list is calculated, not measured: it uses a crystal structure in the Materials Project, relaxed with PBE and Cu Kα (weighted mean of Kα1 and Kα2).
Intensities are scaled so that the largest is 1000.

Principal peaks in the range 2θ = 10–90°, in order of rising 2θ:
(hkl), two_theta, I/Imax
1 0 -1, 13.47, 194
1 1 -1, 19.09, 1000
2 -1 0, 19.20, 198
1 -2 0, 22.39, 258
2 -2 2, 27.19, 219
1 -2 3, 30.39, 324
1 -3 1, 30.45, 582
0 1 2, 33.23, 260
3 -1 1, 33.49, 423
2 -2 4, 45.72, 252

Atomic structure:
a = 9.2447 Å, b = 9.2783 Å, c = 9.3078 Å
α = 119.82°, β = 90.01°, γ = 119.86°
Space group P1 (No. 1)
Symmetry-distinct sites (fractional):
1 Na 0.0000 0.0000 0.0000 (multiplicity 1)
2 Na 0.0759 0.5067 0.2614 (multiplicity 1)
3 Na 0.3831 0.1208 0.9033 (multiplicity 1)
4 Na 0.4971 0.0086 0.5039 (multiplicity 1)
5 Na 0.6136 0.8851 0.0817 (multiplicity 1)
6 Na 0.8849 0.5162 0.7647 (multiplicity 1)
7 Y 0.3582 0.7109 0.6431 (multiplicity 1)
8 Y 0.6324 0.3013 0.3557 (multiplicity 1)
9 Y 0.8525 0.7195 0.1598 (multiplicity 1)
10 Nb 0.1351 0.2974 0.8444 (multiplicity 1)
11 Si 0.2525 0.8096 0.0489 (multiplicity 1)
12 Si 0.7529 0.2098 0.9489 (multiplicity 1)
13 P 0.0400 0.8097 0.5666 (multiplicity 1)
14 P 0.4309 0.4987 0.2268 (multiplicity 1)
15 P 0.5339 0.4921 0.7518 (multiplicity 1)
16 P 0.9469 0.2192 0.4577 (multiplicity 1)
17 O 0.0192 0.2221 0.6170 (multiplicity 1)
18 O 0.0763 0.0062 0.7367 (multiplicity 1)
19 O 0.0800 0.8170 0.0590 (multiplicity 1)
20 O 0.0881 0.4144 0.4784 (multiplicity 1)
21 O 0.1917 0.5683 0.9776 (multiplicity 1)
22 O 0.2170 0.8286 0.5796 (multiplicity 1)
23 O 0.2600 0.3310 0.0567 (multiplicity 1)
24 O 0.3156 0.8310 0.8939 (multiplicity 1)
25 O 0.3723 0.3757 0.8010 (multiplicity 1)
26 O 0.3771 0.6234 0.3683 (multiplicity 1)
27 O 0.4202 0.9698 0.2307 (multiplicity 1)
28 O 0.4712 0.3736 0.2625 (multiplicity 1)
29 O 0.4946 0.5997 0.6931 (multiplicity 1)
30 O 0.5628 0.3394 0.6071 (multiplicity 1)
31 O 0.5841 0.6338 0.1918 (multiplicity 1)
32 O 0.5852 0.0279 0.7689 (multiplicity 1)
33 O 0.7043 0.6597 0.9144 (multiplicity 1)
34 O 0.7297 0.2072 0.1247 (multiplicity 1)
35 O 0.7782 0.2126 0.4778 (multiplicity 1)
36 O 0.8096 0.4279 0.9954 (multiplicity 1)
37 O 0.8909 0.6223 0.5573 (multiplicity 1)
38 O 0.9059 0.0341 0.2802 (multiplicity 1)
39 O 0.9265 0.1949 0.9164 (multiplicity 1)
40 O 0.9889 0.7955 0.4015 (multiplicity 1)

=====

Diffraction record for K3ClO. The powder diffraction line list is calculated, not measured: it uses a crystal structure in the Materials Project, relaxed with PBE and Cu Kα (weighted mean of Kα1 and Kα2).
Intensities are scaled so that the largest is 1000.

Principal peaks in the range 2θ = 10–90°, in order of rising 2θ:
(hkl), two_theta, I/Imax
0 0 1, 16.95, 96
1 1 -1, 29.49, 684
1 1 1, 29.69, 657
0 2 0, 34.30, 1000
2 0 -2, 49.00, 100
0 2 2, 49.30, 402
2 0 2, 49.52, 90
1 1 -3, 58.34, 141
1 3 1, 58.67, 207
2 2 -2, 61.19, 93

Atomic structure:
a = 5.2311 Å, b = 5.2244 Å, c = 5.2338 Å
α = 90.00°, β = 90.57°, γ = 90.00°
Space group Pm (No. 6)
Symmetry-distinct sites (fractional):
1 K 0.0000 0.0000 0.0000 (multiplicity 1)
2 K 0.0634 0.5000 0.5147 (multiplicity 1)
3 K 0.5310 0.0000 0.4750 (multiplicity 1)
4 Cl 0.5292 0.5000 0.0198 (multiplicity 1)
5 O 0.0310 0.0000 0.5019 (multiplicity 1)